Simulated XRD peak list of Ac2ClF6 for Cu Ka, from a crystal structure in Alexandria, relaxed with PBE.
Intensities are scaled so that the largest is 100.

Cell and atoms:
Lattice parameters (Å, degrees): 6.955 5.865 8.845 90.00 112.08 90.00
Space group P2_1/c (No. 14)
Asymmetric unit:
Ac1 0.186 0.242 0.175 x4
Cl1 0.500 0.000 0.500 x2
F1 0.051 0.075 0.382 x4
F2 0.148 0.505 0.435 x4
F3 0.464 0.542 0.261 x4

Most intense lines, 2θ = 5–70°, sorted by position:
| hkl | d [Å] | I_rel |
| --- | --- | --- |
| 1 1 0 | 4.338 | 100 |
| 1 1 -2 | 3.446 | 44 |
| 0 1 2 | 3.359 | 38 |
| 2 1 0 | 2.824 | 23 |
| 2 2 -2 | 2.156 | 22 |
| 3 1 -2 | 2.132 | 21 |